Computed X-ray powder pattern of Np2ZnNi4Ge3 for Cu Ka, from DFT lattice parameters and positions (GGA-PBE).
Lines closer than 0.1° are merged.

Largest 12 diffraction maxima, by angle, 10 to 90 degrees two-theta:
Position (°2θ), I/Imax, index
18.00, 95, 0 0 2
23.78, 313, 1 0 1
31.28, 275, 1 1 0
35.19, 751, 1 0 3
36.32, 1000, 1 1 2
44.82, 494, 2 0 0
51.58, 308, 1 0 5
58.22, 357, 2 1 3
65.25, 158, 2 2 0
65.53, 138, 1 1 6
70.68, 239, 2 1 5
77.04, 266, 3 1 2

Structural model:
Unit cell a=4.045 b=4.045 c=9.856 alpha=90.00 beta=90.00 gamma=90.00
Positions (direct):
1 Np 0.000 0.500 0.249
2 Np 0.500 0.000 0.751
3 Zn 0.000 0.000 0.500
4 Ni 0.000 0.000 0.000
5 Ni 0.000 0.500 0.635
6 Ni 0.500 0.000 0.365
7 Ni 0.500 0.500 0.000
8 Ge 0.000 0.500 0.871
9 Ge 0.500 0.000 0.129
10 Ge 0.500 0.500 0.500